For V6O11F, a PBE+U-relaxed structure gives the simulated powder XRD pattern in this record (Cu Kα (λ = 1.5418 Å)).
Neutral-atom scattering factors, no anomalous dispersion.

Principal peaks in the range 10° ≤ 2θ ≤ 80°, by angle:
2θ/deg	intensity	hkl
27.43	971	0 2 0
27.82	1000	2 0 -2
35.43	557	3 1 0
35.61	508	1 1 2
40.67	202	2 2 1
53.85	300	3 3 0
53.98	285	1 3 2
54.16	297	5 1 -2
54.55	289	1 1 -4
61.09	186	4 0 2
68.86	204	5 3 -2
69.20	201	1 3 -4

Structural model:
```
data_V6O11F
_cell_length_a 8.8626
_cell_length_b 6.5026
_cell_length_c 7.0752
_cell_angle_alpha 90.00
_cell_angle_beta 111.40
_cell_angle_gamma 90.00
_symmetry_space_group_name_H-M 'C 1 2 1'
_symmetry_Int_Tables_number 5
loop_
_symmetry_equiv_pos_as_xyz
'x,y,z'
'-x,y,-z'
'x+1/2,y+1/2,z'
'-x+1/2,y+1/2,-z'
loop_
_atom_site_label
_atom_site_type_symbol
_atom_site_fract_x
_atom_site_fract_y
_atom_site_fract_z
_atom_site_occupancy
V1 V 0.0000 0.0000 0.0000 1
V2 V 0.0000 0.0280 0.5000 1
V3 V 0.1672 0.5325 0.6720 1
V4 V 0.1738 0.5336 0.1774 1
O1 O 0.0000 0.7093 0.0000 1
O2 O 0.0649 0.5178 0.3656 1
O3 O 0.0935 0.0261 0.2820 1
O4 O 0.1687 0.8181 0.6649 1
O5 O 0.1734 0.2268 0.6668 1
O6 O 0.2341 0.0154 0.0271 1
F1 F 0.0000 0.3223 0.0000 1
```

For V3O4F2, a PBE+U-relaxed structure gives the simulated powder XRD pattern in this record (Cu Kα (λ = 1.5418 Å)).
Neutral-atom scattering factors, no anomalous dispersion.

Principal peaks in the range 10° ≤ 2θ ≤ 80°, by angle:
2θ/deg	intensity	hkl
18.80	1000	0 1 1
20.60	680	1 1 0
21.22	587	0 0 2
22.65	657	0 1 -1
23.49	651	1 0 -1
24.36	739	1 1 2
31.30	493	1 -1 0
31.98	636	1 2 1
33.40	472	0 1 3
34.36	486	1 1 -2
38.57	564	1 -1 2
61.72	450	3 2 -1

Structural model:
```
data_V3O4F2
_cell_length_a 5.1611
_cell_length_b 5.6379
_cell_length_c 8.8680
_cell_angle_alpha 72.90
_cell_angle_beta 74.92
_cell_angle_gamma 64.10
_symmetry_space_group_name_H-M 'P 1'
_symmetry_Int_Tables_number 1
loop_
_symmetry_equiv_pos_as_xyz
'x,y,z'
loop_
_atom_site_label
_atom_site_type_symbol
_atom_site_fract_x
_atom_site_fract_y
_atom_site_fract_z
_atom_site_occupancy
V1 V 0.0000 0.0000 0.0000 1
V2 V 0.0013 0.3242 0.6553 1
V3 V 0.1851 0.3399 0.2493 1
V4 V 0.4761 0.5399 0.4965 1
V5 V 0.5022 0.8160 0.1437 1
V6 V 0.6740 0.8718 0.7346 1
O1 O 0.2077 0.1516 0.0877 1
O2 O 0.2431 0.3608 0.4538 1
O3 O 0.2539 0.6580 0.1183 1
O4 O 0.2666 0.0126 0.7912 1
O5 O 0.6652 0.6687 0.6030 1
O6 O 0.7362 0.5334 0.2884 1
O7 O 0.7369 0.1661 0.6208 1
O8 O 0.7520 0.8319 0.9478 1
F1 F 0.1395 0.5983 0.6909 1
F2 F 0.2372 0.9108 0.3729 1
F3 F 0.6618 0.0717 0.1893 1
F4 F 0.7573 0.3577 0.8814 1
```

For V6O7F5, a PBE+U-relaxed structure gives the simulated powder XRD pattern in this record (Cu Kα (λ = 1.5418 Å)).
Neutral-atom scattering factors, no anomalous dispersion.

Principal peaks in the range 10° ≤ 2θ ≤ 80°, by angle:
2θ/deg	intensity	hkl
27.04	940	2 0 -2
27.19	1000	0 2 0
34.23	513	1 1 2
34.52	451	3 1 0
39.66	201	2 2 1
52.34	293	1 1 -4
52.71	336	1 3 2
52.94	533	3 3 0
56.08	187	0 4 0
58.59	178	4 0 2
67.04	216	1 3 -4
67.58	192	5 3 -2

Structural model:
```
data_V6O7F5
_cell_length_a 9.0653
_cell_length_b 6.5601
_cell_length_c 7.3456
_cell_angle_alpha 90.00
_cell_angle_beta 110.56
_cell_angle_gamma 90.00
_symmetry_space_group_name_H-M 'C 1 m 1'
_symmetry_Int_Tables_number 8
loop_
_symmetry_equiv_pos_as_xyz
'x,y,z'
'x,-y,z'
'x+1/2,y+1/2,z'
'x+1/2,-y+1/2,z'
loop_
_atom_site_label
_atom_site_type_symbol
_atom_site_fract_x
_atom_site_fract_y
_atom_site_fract_z
_atom_site_occupancy
V1 V 0.0000 0.0000 0.0000 1
V2 V 0.0135 0.0000 0.5024 1
V3 V 0.1681 0.5000 0.6635 1
V4 V 0.2013 0.5000 0.1889 1
V5 V 0.3121 0.0000 0.8232 1
V6 V 0.3505 0.0000 0.3091 1
O1 O 0.0778 0.5000 0.3472 1
O2 O 0.1649 0.2024 0.6574 1
O3 O 0.2232 0.0000 0.0241 1
O4 O 0.2692 0.5000 0.9678 1
O5 O 0.3478 0.3041 0.3324 1
F1 F 0.0000 0.3054 0.9935 1
F2 F 0.1149 0.0000 0.2947 1
F3 F 0.4038 0.5000 0.7043 1
F4 F 0.4320 0.0000 0.6241 1
```